Entry 1:
This entry pairs a crystal structure of LiCr2P2O8 with its calculated powder X-ray diffraction pattern. Radiation: copper Kα. Structure: a crystal structure in Alexandria, relaxed with PBE+U.
Peak positions follow from Bragg's law for the DFT cell and can differ from measured ones.

abc: 6.023 6.359 9.626
angles: 89.74 73.06 82.61
Sites, in units of the cell vectors:
Li (0.215, 0.012, 0.168)
Li (0.785, 0.988, 0.832)
Cr (0.065, 0.505, 0.217)
Cr (0.352, 0.693, 0.445)
Cr (0.648, 0.307, 0.555)
Cr (0.935, 0.495, 0.783)
P (0.183, 0.224, 0.472)
P (0.258, 0.288, 0.884)
P (0.742, 0.712, 0.116)
P (0.817, 0.776, 0.528)
O (0.024, 0.215, 0.870)
O (0.038, 0.680, 0.399)
O (0.114, 0.243, 0.329)
O (0.240, 0.313, 0.049)
O (0.242, 0.508, 0.807)
O (0.260, 0.000, 0.504)
O (0.377, 0.366, 0.466)
O (0.492, 0.157, 0.809)
O (0.508, 0.843, 0.191)
O (0.623, 0.634, 0.534)
O (0.740, 0.000, 0.496)
O (0.758, 0.492, 0.193)
O (0.760, 0.687, 0.951)
O (0.886, 0.757, 0.671)
O (0.962, 0.320, 0.601)
O (0.976, 0.785, 0.130)

Main lines, sorted by position (10° ≤ 2θ ≤ 80°):
two_theta  intensity  index
14.05  100  0 1 0
19.54  65  1 1 0
19.91  37  1 1 1
28.26  66  1 0 -2
29.11  57  0 0 3
31.47  36  2 1 1
32.93  38  -1 1 2
33.91  38  0 2 -2



Entry 2:
This entry pairs a crystal structure of LiCr2P2O10 with its calculated powder X-ray diffraction pattern. Radiation: copper Kα. Structure: a crystal structure in Alexandria, relaxed with PBE+U.
Peak positions follow from Bragg's law for the DFT cell and can differ from measured ones.

abc: 6.842 7.070 7.897
angles: 90.47 90.67 117.36
Sites, in units of the cell vectors:
Li (0.000, 0.000, 0.000)
Li (0.488, 0.972, 0.496)
Cr (0.057, 0.309, 0.672)
Cr (0.057, 0.813, 0.686)
Cr (0.552, 0.771, 0.173)
Cr (0.563, 0.271, 0.183)
P (0.040, 0.554, 0.023)
P (0.076, 0.040, 0.340)
P (0.543, 0.543, 0.522)
P (0.573, 0.029, 0.839)
O (0.031, 0.203, 0.444)
O (0.034, 0.528, 0.625)
O (0.061, 0.377, 0.919)
O (0.078, 0.060, 0.759)
O (0.164, 0.922, 0.457)
O (0.240, 0.146, 0.193)
O (0.260, 0.703, 0.113)
O (0.361, 0.877, 0.739)
O (0.371, 0.442, 0.665)
O (0.469, 0.680, 0.409)
O (0.537, 0.194, 0.943)
O (0.538, 0.536, 0.121)
O (0.569, 0.368, 0.424)
O (0.574, 0.040, 0.256)
O (0.662, 0.907, 0.955)
O (0.736, 0.126, 0.690)
O (0.759, 0.696, 0.613)
O (0.866, 0.889, 0.239)
O (0.872, 0.452, 0.167)
O (0.969, 0.695, 0.917)

Main lines, sorted by position (10° ≤ 2θ ≤ 80°):
two_theta  intensity  index
18.27  44  1 0 -1
18.60  100  1 0 1
18.72  49  1 -1 1
26.89  43  0 1 2
27.62  72  1 -2 1
27.77  97  -1 2 1
29.40  99  2 0 0
36.98  45  1 0 -3



Entry 3:
This entry pairs a crystal structure of Li2CrP2O8 with its calculated powder X-ray diffraction pattern. Radiation: copper Kα. Structure: a crystal structure in Alexandria, relaxed with PBE+U.
Peak positions follow from Bragg's law for the DFT cell and can differ from measured ones.

abc: 4.891 8.275 8.535
angles: 114.87 103.08 90.02
Sites, in units of the cell vectors:
Li (0.133, 0.404, 0.108)
Li (0.355, 0.077, 0.807)
Li (0.645, 0.923, 0.193)
Li (0.867, 0.596, 0.892)
Cr (0.226, 0.234, 0.456)
Cr (0.774, 0.766, 0.544)
P (0.197, 0.804, 0.306)
P (0.351, 0.677, 0.744)
P (0.649, 0.323, 0.256)
P (0.803, 0.196, 0.694)
O (0.034, 0.704, 0.731)
O (0.069, 0.976, 0.304)
O (0.077, 0.738, 0.426)
O (0.112, 0.652, 0.120)
O (0.396, 0.483, 0.627)
O (0.475, 0.264, 0.064)
O (0.476, 0.159, 0.630)
O (0.484, 0.810, 0.683)
O (0.516, 0.190, 0.317)
O (0.524, 0.841, 0.370)
O (0.525, 0.736, 0.936)
O (0.604, 0.517, 0.373)
O (0.888, 0.348, 0.880)
O (0.923, 0.262, 0.574)
O (0.931, 0.024, 0.696)
O (0.966, 0.296, 0.269)

Main lines, sorted by position (10° ≤ 2θ ≤ 80°):
two_theta  intensity  index
11.80  100  0 0 1
23.85  48  0 2 0
24.02  30  1 -1 1
25.32  50  1 1 -2
31.04  14  0 2 1
31.61  13  1 -1 2
36.84  15  2 0 -1
66.99  7  3 3 -3